No. 1
# MgAsPt5
Computed X-ray diffraction stick pattern, Cu Kα X-rays. Input: the GGA-PBE geometry in the Materials Project.
Neutral-atom scattering factors, no anomalous dispersion.

Cell and atoms:
Cell lengths 3.988, 3.988, 7.177 Å; angles 90.00, 90.00, 90.00 degrees
Atoms (fractional coordinates):
Mg (0.000, 0.000, 0.000)
As (0.500, 0.500, 0.500)
Pt (0.000, 0.500, 0.280)
Pt (0.000, 0.500, 0.720)
Pt (0.500, 0.000, 0.280)
Pt (0.500, 0.000, 0.720)
Pt (0.500, 0.500, 0.000)

Main lines, by intensity (10° ≤ 2θ ≤ 90°):
| 2θ (°) | I/Imax | (hkl) |
| --- | --- | --- |
| 40.7 | 100 | 1 1 2 |
| 45.5 | 40 | 2 0 0 |
| 80.8 | 28 | 3 1 2 |
| 31.7 | 21 | 1 1 0 |
| 24.8 | 15 | 0 0 2 |
| 70.6 | 14 | 2 0 4 |
| 22.3 | 14 | 1 0 0 |
| 66.3 | 13 | 2 2 0 |
| 34.2 | 13 | 1 1 1 |
| 74.1 | 10 | 1 1 5 |

No. 2
# Na3BiH8O7
Computed X-ray diffraction stick pattern, Cu Kα X-rays. Input: the GGA-PBE geometry in the Materials Project.
Neutral-atom scattering factors, no anomalous dispersion.

Cell and atoms:
Cell lengths 6.921, 7.524, 8.458 Å; angles 85.44, 89.32, 64.49 degrees
Atoms (fractional coordinates):
Na (0.053, 0.133, 0.364)
Na (0.202, 0.376, 0.625)
Na (0.311, 0.648, 0.360)
Na (0.689, 0.352, 0.640)
Na (0.798, 0.624, 0.375)
Na (0.947, 0.867, 0.636)
Bi (0.456, 0.879, 0.672)
Bi (0.544, 0.121, 0.328)
H (0.008, 0.824, 0.970)
H (0.040, 0.146, 0.756)
H (0.151, 0.444, 0.240)
H (0.184, 0.963, 0.081)
H (0.220, 0.465, 0.979)
H (0.233, 0.248, 0.975)
H (0.324, 0.584, 0.767)
H (0.353, 0.689, 0.039)
H (0.647, 0.311, 0.961)
H (0.676, 0.416, 0.233)
H (0.767, 0.752, 0.025)
H (0.780, 0.535, 0.021)
H (0.816, 0.037, 0.919)
H (0.849, 0.556, 0.760)
H (0.960, 0.854, 0.244)
H (0.992, 0.176, 0.030)
O (0.091, 0.112, 0.649)
O (0.141, 0.107, 0.087)
O (0.185, 0.385, 0.350)
O (0.212, 0.709, 0.078)
O (0.255, 0.356, 0.910)
O (0.330, 0.630, 0.656)
O (0.434, 0.881, 0.423)
O (0.566, 0.119, 0.577)
O (0.670, 0.370, 0.344)
O (0.745, 0.644, 0.090)
O (0.788, 0.291, 0.922)
O (0.815, 0.615, 0.650)
O (0.859, 0.893, 0.913)
O (0.909, 0.888, 0.351)

Main lines, by intensity (10° ≤ 2θ ≤ 90°):
| 2θ (°) | I/Imax | (hkl) |
| --- | --- | --- |
| 10.5 | 100 | 0 0 1 |
| 14.2 | 68 | 1 0 0 |
| 17.5 | 66 | 1 1 1 |
| 16.1 | 60 | 0 1 1 |
| 13.1 | 54 | 0 1 0 |
| 31.8 | 53 | 0 0 3 |
| 30.8 | 38 | 2 0 1 |
| 37.8 | 37 | 2 3 0 |
| 36.5 | 36 | 2 -1 0 |
| 17.9 | 32 | 1 0 1 |

No. 3
# VS
Computed X-ray diffraction stick pattern, Cu Kα X-rays. Input: the GGA-PBE geometry in the Materials Project.
Neutral-atom scattering factors, no anomalous dispersion.

Cell and atoms:
Cell lengths 3.155, 3.155, 6.455 Å; angles 90.00, 90.00, 120.00 degrees
Atoms (fractional coordinates):
V (0.333, 0.667, 0.250)
V (0.667, 0.333, 0.750)
S (0.000, 0.000, 0.000)
S (0.000, 0.000, 0.500)

Main lines, by intensity (10° ≤ 2θ ≤ 90°):
| 2θ (°) | I/Imax | (hkl) |
| --- | --- | --- |
| 35.7 | 100 | 1 0 1 |
| 43.4 | 97 | 1 0 2 |
| 58.5 | 38 | 1 1 0 |
| 54.3 | 27 | 1 0 3 |
| 86.2 | 24 | 1 1 4 |
| 75.6 | 17 | 2 0 2 |
| 57.1 | 14 | 0 0 4 |
| 70.4 | 11 | 2 0 1 |
| 82.7 | 7 | 1 0 5 |
| 83.9 | 7 | 2 0 3 |